# 1
This entry pairs a crystal structure of Co3Se4 with its calculated XRD peak list. Radiation: Cu Kα (λ = 1.5418 Å). Structure: a cell relaxed with PBE.
Neutral-atom scattering factors, no anomalous dispersion.

Crystal structure
Unit cell a=6.948 b=6.948 c=6.948 alpha=60.00 beta=60.00 gamma=60.00
Atoms (fractional coordinates):
1 Co 0.000 0.000 0.000
2 Co 0.000 0.000 0.500
3 Co 0.000 0.500 0.000
4 Co 0.375 0.375 0.375
5 Co 0.500 0.000 0.000
6 Co 0.625 0.625 0.625
7 Se 0.228 0.757 0.757
8 Se 0.243 0.243 0.243
9 Se 0.243 0.243 0.772
10 Se 0.243 0.772 0.243
11 Se 0.757 0.228 0.757
12 Se 0.757 0.757 0.228
13 Se 0.757 0.757 0.757
14 Se 0.772 0.243 0.243

The 10 most intense peaks (2θ from 10° to 90°), by intensity:
2θ (°), intensity
52.69, 100.0
36.58, 85.6
31.54, 43.7
30.16, 40.5
48.12, 27.2
89.13, 23.6
65.85, 18.4
62.72, 16.7
77.75, 14.6
25.64, 13.4

# 2
This entry pairs a crystal structure of NiHg2Ge2 with its calculated XRD peak list. Radiation: Cu Kα (λ = 1.5418 Å). Structure: a cell relaxed with PBE.
Neutral-atom scattering factors, no anomalous dispersion.

Crystal structure
Unit cell a=6.010 b=11.301 c=2.994 alpha=90.00 beta=90.00 gamma=90.00
Atoms (fractional coordinates):
1 Ni 0.000 0.000 0.000
2 Ni 0.500 0.500 0.000
3 Hg 0.137 0.363 0.000
4 Hg 0.363 0.863 0.000
5 Hg 0.637 0.137 0.000
6 Hg 0.863 0.637 0.000
7 Ge 0.192 0.130 0.500
8 Ge 0.308 0.630 0.500
9 Ge 0.692 0.370 0.500
10 Ge 0.808 0.870 0.500

The 10 most intense peaks (2θ from 10° to 90°), by intensity:
2θ (°), intensity
37.13, 100.0
30.79, 58.5
31.67, 42.8
41.34, 40.8
27.95, 32.4
21.59, 24.2
29.84, 22.6
55.81, 22.4
60.04, 21.8
50.53, 21.1

# 3
This entry pairs a crystal structure of Cu7Ag3 with its calculated XRD peak list. Radiation: Cu Kα (λ = 1.5418 Å). Structure: a cell relaxed with PBE.
Neutral-atom scattering factors, no anomalous dispersion.

Crystal structure
Unit cell a=2.726 b=3.697 c=13.605 alpha=90.00 beta=90.00 gamma=90.00
Atoms (fractional coordinates):
1 Cu 0.000 0.000 0.000
2 Cu 0.000 0.000 0.211
3 Cu 0.000 0.000 0.393
4 Cu 0.000 0.000 0.607
5 Cu 0.000 0.000 0.789
6 Cu 0.500 0.500 0.302
7 Cu 0.500 0.500 0.698
8 Ag 0.500 0.500 0.105
9 Ag 0.500 0.500 0.500
10 Ag 0.500 0.500 0.895

The 10 most intense peaks (2θ from 10° to 90°), by intensity:
2θ (°), intensity
41.17, 100.0
47.20, 32.4
70.63, 17.8
49.30, 14.7
83.53, 11.1
86.73, 10.4
83.63, 9.8
68.89, 5.0
89.29, 5.0
69.04, 4.3

# 4
This entry pairs a crystal structure of Cu7Ag3 with its calculated XRD peak list. Radiation: Cu Kα (λ = 1.5418 Å). Structure: a cell relaxed with PBE.
Neutral-atom scattering factors, no anomalous dispersion.

Crystal structure
Unit cell a=2.765 b=3.469 c=14.273 alpha=90.00 beta=90.00 gamma=90.00
Atoms (fractional coordinates):
1 Cu 0.000 0.000 0.000
2 Cu 0.000 0.000 0.390
3 Cu 0.000 0.000 0.610
4 Cu 0.500 0.500 0.088
5 Cu 0.500 0.500 0.305
6 Cu 0.500 0.500 0.695
7 Cu 0.500 0.500 0.912
8 Ag 0.000 0.000 0.196
9 Ag 0.000 0.000 0.804
10 Ag 0.500 0.500 0.500

The 10 most intense peaks (2θ from 10° to 90°), by intensity:
2θ (°), intensity
40.94, 100.0
41.77, 99.0
45.68, 71.9
72.32, 33.3
52.77, 24.0
82.33, 23.4
80.66, 21.0
67.78, 10.7
65.38, 9.8
28.61, 9.2

# 5
This entry pairs a crystal structure of SmNp2Ta2N6 with its calculated XRD peak list. Radiation: Cu Kα (λ = 1.5418 Å). Structure: a cell relaxed with PBE.
Neutral-atom scattering factors, no anomalous dispersion.

Crystal structure
Unit cell a=9.946 b=9.946 c=9.946 alpha=156.65 beta=156.65 gamma=33.27
Atoms (fractional coordinates):
1 Sm 0.000 0.000 0.000
2 Np 0.179 0.179 0.000
3 Np 0.821 0.821 0.000
4 Ta 0.398 0.398 0.000
5 Ta 0.602 0.602 0.000
6 N 0.086 0.586 0.500
7 N 0.295 0.295 0.000
8 N 0.414 0.914 0.500
9 N 0.586 0.086 0.500
10 N 0.705 0.705 0.000
11 N 0.914 0.414 0.500

The 10 most intense peaks (2θ from 10° to 90°), by intensity:
2θ (°), intensity
32.34, 100.0
31.42, 67.2
56.53, 42.6
45.04, 31.1
48.58, 13.1
74.54, 11.9
65.59, 10.0
58.26, 9.9
18.62, 9.9
68.39, 9.5

# 6
This entry pairs a crystal structure of SrAl2In2Ir with its calculated XRD peak list. Radiation: Cu Kα (λ = 1.5418 Å). Structure: a cell relaxed with PBE.
Neutral-atom scattering factors, no anomalous dispersion.

Crystal structure
Unit cell a=8.443 b=4.231 c=7.414 alpha=90.00 beta=90.00 gamma=90.00
Atoms (fractional coordinates):
1 Sr 0.250 0.000 0.109
2 Sr 0.750 0.000 0.891
3 Al 0.000 0.000 0.500
4 Al 0.250 0.500 0.455
5 Al 0.500 0.000 0.500
6 Al 0.750 0.500 0.545
7 In 0.053 0.500 0.795
8 In 0.447 0.500 0.795
9 In 0.553 0.500 0.205
10 In 0.947 0.500 0.205
11 Ir 0.250 0.000 0.656
12 Ir 0.750 0.000 0.344

The 10 most intense peaks (2θ from 10° to 90°), by intensity:
2θ (°), intensity
29.90, 100.0
33.86, 87.5
15.91, 74.8
42.78, 53.3
40.37, 47.7
42.37, 42.3
38.70, 40.4
26.26, 35.5
40.23, 33.6
60.15, 21.9

# 7
This entry pairs a crystal structure of BaPt3Au2 with its calculated XRD peak list. Radiation: Cu Kα (λ = 1.5418 Å). Structure: a cell relaxed with PBE.
Neutral-atom scattering factors, no anomalous dispersion.

Crystal structure
Unit cell a=5.644 b=5.644 c=4.499 alpha=90.00 beta=90.00 gamma=120.00
Atoms (fractional coordinates):
1 Ba 0.000 0.000 0.000
2 Pt 0.000 0.500 0.500
3 Pt 0.500 0.000 0.500
4 Pt 0.500 0.500 0.500
5 Au 0.333 0.667 0.000
6 Au 0.667 0.333 0.000

The 10 most intense peaks (2θ from 10° to 90°), by intensity:
2θ (°), intensity
37.62, 100.0
42.07, 58.6
18.15, 38.0
40.09, 32.9
80.32, 27.1
36.77, 26.4
60.43, 25.5
66.23, 22.8
31.71, 17.3
55.52, 16.2